Li3Sn3Pd2: theoretical powder X-ray diffraction pattern (Cu Kα (λ = 1.5418 Å)), based on a structure optimized by DFT (GGA-PBE).

Atomic structure:
a b c (Å): 8.072 8.072 8.072
angles (deg): 33.37 33.37 33.37
Atoms (fractional coordinates):
Li1 0.000 0.000 0.000
Li2 0.123 0.123 0.123
Li3 0.499 0.499 0.499
Sn1 0.380 0.380 0.380
Sn2 0.622 0.622 0.622
Sn3 0.865 0.865 0.865
Pd1 0.249 0.249 0.249
Pd2 0.743 0.743 0.743

The 12 most intense peaks (15° ≤ 2θ ≤ 90°), sorted by position:
- 2θ = 22.49°, rel. 19
- 2θ = 23.36°, rel. 20
- 2θ = 23.49°, rel. 57
- 2θ = 29.62°, rel. 15
- 2θ = 38.70°, rel. 94
- 2θ = 38.86°, rel. 100
- 2θ = 45.86°, rel. 29
- 2θ = 53.54°, rel. 14
- 2θ = 56.00°, rel. 32
- 2θ = 69.93°, rel. 13
- 2θ = 70.26°, rel. 33
- 2θ = 70.37°, rel. 18